Diffraction record for HfBiS4. The X-ray diffraction stick pattern is calculated, not measured: it uses a cell relaxed with PBE and Cu Ka.

The 10 most intense peaks (5 to 70 degrees two-theta), low angle first:
2θ (°), I_rel
13.07, 100.0
27.31, 22.1
29.83, 25.9
30.39, 50.1
37.83, 18.8
38.29, 35.2
47.50, 12.2
48.67, 14.2
49.07, 16.3
49.49, 14.4

Cell and atoms:
abc: 6.682 3.743 6.772
angles: 90.00 90.05 90.00
Space group P2/m (No. 10)
Inequivalent atoms, fractional coordinates:
Hf 0.000 0.000 0.000 [1 per cell]
Bi 0.500 0.500 0.000 [1 per cell]
S 0.150 0.500 0.785 [2 per cell]
S 0.308 0.000 0.226 [2 per cell]